[1]
Computed powder X-ray diffraction pattern
Compound: MgFe6O11F
Radiation: Cu Ka
Structure: a PBE+U-relaxed structure

Main lines, by angle (10 to 80 degrees two-theta):
index, two_theta, I (rel.)
1 1 0, 23.0, 100
1 -1 0, 26.9, 83
0 1 -3, 35.7, 41
1 0 -3, 35.9, 44
1 1 3, 38.8, 24
2 1 -3, 49.4, 24
1 -2 3, 53.4, 19
-2 1 3, 53.7, 30
2 -2 0, 55.5, 16
0 3 -3, 63.9, 17

```
data_MgFe6O11F
_space_group_name_H-M_alt 'P 1'
_space_group_IT_number 1
_space_group_name_Hall 'P 1'
_cell_length_a 5.059
_cell_length_b 5.118
_cell_length_c 8.688
_cell_angle_alpha 89.99
_cell_angle_beta 89.99
_cell_angle_gamma 81.16
loop_
_atom_site_label
_atom_site_type_symbol
_atom_site_fract_x
_atom_site_fract_y
_atom_site_fract_z
Mg1 Mg 0.000 0.000 0.000
Fe1 Fe 0.054 0.618 0.500
Fe2 Fe 0.473 0.040 0.669
Fe3 Fe 0.474 0.040 0.330
Fe4 Fe 0.486 0.070 0.000
Fe5 Fe 0.921 0.493 0.821
Fe6 Fe 0.924 0.494 0.178
O1 O 0.146 0.354 0.001
O2 O 0.181 0.368 0.331
O3 O 0.183 0.368 0.668
O4 O 0.299 0.876 0.499
O5 O 0.305 0.909 0.150
O6 O 0.305 0.911 0.850
O7 O 0.698 0.201 0.156
O8 O 0.698 0.201 0.844
O9 O 0.782 0.715 0.001
O10 O 0.788 0.735 0.665
O11 O 0.789 0.734 0.333
F1 F 0.655 0.211 0.499
```

***

[2]
Computed powder X-ray diffraction pattern
Compound: MgFe12O12F12
Radiation: Cu Ka
Structure: a PBE+U-relaxed structure

Main lines, by angle (10 to 80 degrees two-theta):
index, two_theta, I (rel.)
2 0 -3, 25.7, 91
2 0 3, 26.4, 100
0 1 3, 34.2, 63
2 1 0, 34.4, 56
2 1 -6, 50.9, 23
4 1 -3, 51.4, 24
2 1 6, 51.7, 30
4 1 3, 52.1, 34
0 2 0, 59.6, 23
0 1 9, 64.6, 22

```
data_MgFe12O12F12
_space_group_name_H-M_alt 'P 1'
_space_group_IT_number 1
_space_group_name_Hall 'P 1'
_cell_length_a 9.568
_cell_length_b 3.104
_cell_length_c 14.661
_cell_angle_alpha 90.00
_cell_angle_beta 91.47
_cell_angle_gamma 90.00
loop_
_atom_site_label
_atom_site_type_symbol
_atom_site_fract_x
_atom_site_fract_y
_atom_site_fract_z
Mg1 Mg 0.000 0.000 0.000
Fe1 Fe 0.001 0.500 0.831
Fe2 Fe 0.228 0.000 0.335
Fe3 Fe 0.257 0.000 0.650
Fe4 Fe 0.297 0.000 0.972
Fe5 Fe 0.455 0.500 0.486
Fe6 Fe 0.478 0.500 0.144
Fe7 Fe 0.478 0.500 0.809
Fe8 Fe 0.717 0.000 0.997
Fe9 Fe 0.739 0.000 0.331
Fe10 Fe 0.742 0.000 0.651
Fe11 Fe 0.943 0.500 0.173
Fe12 Fe 0.983 0.500 0.475
O1 O 0.100 0.000 0.885
O2 O 0.131 0.500 0.386
O3 O 0.325 0.500 0.585
O4 O 0.371 0.500 0.911
O5 O 0.381 0.000 0.099
O6 O 0.386 0.000 0.420
O7 O 0.399 0.000 0.745
O8 O 0.628 0.500 0.051
O9 O 0.818 0.500 0.271
O10 O 0.868 0.500 0.941
O11 O 0.872 0.000 0.104
O12 O 0.877 0.000 0.431
F1 F 0.072 0.000 0.226
F2 F 0.080 0.000 0.553
F3 F 0.101 0.500 0.061
F4 F 0.136 0.500 0.716
F5 F 0.320 0.500 0.260
F6 F 0.575 0.000 0.228
F7 F 0.578 0.000 0.548
F8 F 0.613 0.000 0.874
F9 F 0.627 0.500 0.392
F10 F 0.647 0.500 0.718
F11 F 0.849 0.500 0.589
F12 F 0.898 0.000 0.761
```

***

[3]
Computed powder X-ray diffraction pattern
Compound: MgFe6O6F6
Radiation: Cu Ka
Structure: a PBE+U-relaxed structure

Main lines, by angle (10 to 80 degrees two-theta):
index, two_theta, I (rel.)
1 0 -2, 17.9, 43
2 0 -1, 23.5, 100
2 0 -2, 25.5, 24
0 0 3, 26.2, 78
1 1 1, 33.8, 60
1 1 -2, 34.3, 48
2 1 -1, 37.6, 47
3 1 -3, 49.0, 29
0 2 0, 60.0, 31
3 1 3, 61.5, 25

```
data_MgFe6O6F6
_space_group_name_H-M_alt 'P 1'
_space_group_IT_number 1
_space_group_name_Hall 'P 1'
_cell_length_a 7.584
_cell_length_b 3.085
_cell_length_c 10.724
_cell_angle_alpha 90.00
_cell_angle_beta 107.89
_cell_angle_gamma 90.00
loop_
_atom_site_label
_atom_site_type_symbol
_atom_site_fract_x
_atom_site_fract_y
_atom_site_fract_z
Mg1 Mg 0.000 0.000 0.000
Fe1 Fe 0.223 0.000 0.763
Fe2 Fe 0.360 0.500 0.196
Fe3 Fe 0.537 0.000 0.493
Fe4 Fe 0.643 0.500 0.848
Fe5 Fe 0.750 0.000 0.156
Fe6 Fe 0.955 0.500 0.500
O1 O 0.085 0.500 0.685
O2 O 0.434 0.500 0.386
O3 O 0.490 0.000 0.161
O4 O 0.492 0.000 0.852
O5 O 0.786 0.000 0.501
O6 O 0.819 0.500 0.029
F1 F 0.117 0.000 0.473
F2 F 0.158 0.000 0.187
F3 F 0.168 0.500 0.990
F4 F 0.552 0.500 0.637
F5 F 0.824 0.000 0.820
F6 F 0.851 0.500 0.294
```

***

[4]
Computed powder X-ray diffraction pattern
Compound: MgFe8O14F2
Radiation: Cu Ka
Structure: a PBE+U-relaxed structure

Main lines, by angle (10 to 80 degrees two-theta):
index, two_theta, I (rel.)
1 0 0, 17.4, 28
1 1 0, 22.0, 100
1 -1 0, 27.3, 79
0 1 4, 35.1, 30
0 1 -4, 35.3, 23
1 0 -4, 35.4, 21
2 1 0, 36.1, 21
-1 2 4, 53.4, 19
1 -2 4, 53.6, 18
0 0 8, 63.2, 15

```
data_MgFe8O14F2
_space_group_name_H-M_alt 'P 1'
_space_group_IT_number 1
_space_group_name_Hall 'P 1'
_cell_length_a 5.190
_cell_length_b 5.208
_cell_length_c 11.770
_cell_angle_alpha 89.54
_cell_angle_beta 89.53
_cell_angle_gamma 77.99
loop_
_atom_site_label
_atom_site_type_symbol
_atom_site_fract_x
_atom_site_fract_y
_atom_site_fract_z
Mg1 Mg 0.000 0.000 0.000
Fe1 Fe 0.306 0.296 0.253
Fe2 Fe 0.313 0.309 0.500
Fe3 Fe 0.331 0.326 0.000
Fe4 Fe 0.343 0.278 0.748
Fe5 Fe 0.713 0.717 0.875
Fe6 Fe 0.717 0.720 0.617
Fe7 Fe 0.719 0.706 0.132
Fe8 Fe 0.735 0.726 0.375
O1 O 0.165 0.165 0.115
O2 O 0.173 0.160 0.623
O3 O 0.175 0.162 0.885
O4 O 0.470 0.465 0.379
O5 O 0.484 0.473 0.122
O6 O 0.490 0.469 0.625
O7 O 0.496 0.468 0.875
O8 O 0.581 0.949 0.255
O9 O 0.588 0.958 0.493
O10 O 0.611 0.947 0.748
O11 O 0.624 0.979 0.003
O12 O 0.960 0.572 0.256
O13 O 0.963 0.578 0.496
O14 O 0.990 0.621 0.999
F1 F 0.139 0.132 0.378
F2 F 0.986 0.580 0.750
```

***

[5]
Computed powder X-ray diffraction pattern
Compound: MgFe10O16F4
Radiation: Cu Ka
Structure: a PBE+U-relaxed structure

Main lines, by angle (10 to 80 degrees two-theta):
index, two_theta, I (rel.)
-1 1 1, 25.3, 82
1 1 1, 27.1, 100
1 1 -4, 34.8, 18
1 -1 4, 35.0, 21
0 2 -3, 35.2, 25
0 0 5, 35.3, 22
1 -2 3, 39.3, 17
1 3 -2, 53.5, 14
1 1 6, 53.7, 13
2 2 2, 55.8, 13

```
data_MgFe10O16F4
_space_group_name_H-M_alt 'P 1'
_space_group_IT_number 1
_space_group_name_Hall 'P 1'
_cell_length_a 4.910
_cell_length_b 5.624
_cell_length_c 12.957
_cell_angle_alpha 101.27
_cell_angle_beta 91.54
_cell_angle_gamma 93.05
loop_
_atom_site_label
_atom_site_type_symbol
_atom_site_fract_x
_atom_site_fract_y
_atom_site_fract_z
Mg1 Mg 0.000 0.000 0.000
Fe1 Fe 0.109 0.442 0.237
Fe2 Fe 0.171 0.251 0.443
Fe3 Fe 0.214 0.578 0.015
Fe4 Fe 0.232 0.026 0.627
Fe5 Fe 0.247 0.807 0.814
Fe6 Fe 0.571 0.187 0.072
Fe7 Fe 0.661 0.968 0.251
Fe8 Fe 0.687 0.358 0.832
Fe9 Fe 0.700 0.551 0.627
Fe10 Fe 0.702 0.755 0.438
O1 O 0.012 0.989 0.502
O2 O 0.030 0.780 0.683
O3 O 0.368 0.904 0.975
O4 O 0.388 0.299 0.575
O5 O 0.403 0.093 0.763
O6 O 0.427 0.218 0.203
O7 O 0.491 0.993 0.380
O8 O 0.499 0.384 0.968
O9 O 0.519 0.800 0.565
O10 O 0.529 0.597 0.764
O11 O 0.783 0.920 0.113
O12 O 0.839 0.693 0.297
O13 O 0.865 0.492 0.491
O14 O 0.962 0.202 0.310
O15 O 0.983 0.350 0.084
O16 O 0.985 0.622 0.897
F1 F 0.324 0.697 0.173
F2 F 0.349 0.516 0.379
F3 F 0.897 0.298 0.695
F4 F 0.909 0.100 0.873
```

***

[6]
Computed powder X-ray diffraction pattern
Compound: MgFe6O6F6
Radiation: Cu Ka
Structure: a PBE+U-relaxed structure

Main lines, by angle (10 to 80 degrees two-theta):
index, two_theta, I (rel.)
-1 1 1, 23.5, 97
1 1 -1, 27.0, 100
1 -2 2, 34.5, 24
1 0 2, 34.7, 29
2 -1 1, 35.0, 29
0 1 -3, 35.1, 56
2 -2 1, 38.0, 21
3 -2 0, 49.4, 22
1 0 -4, 49.7, 31
1 2 -4, 53.4, 38

```
data_MgFe6O6F6
_space_group_name_H-M_alt 'P 1'
_space_group_IT_number 1
_space_group_name_Hall 'P 1'
_cell_length_a 5.771
_cell_length_b 5.981
_cell_length_c 7.757
_cell_angle_alpha 108.59
_cell_angle_beta 97.57
_cell_angle_gamma 111.57
loop_
_atom_site_label
_atom_site_type_symbol
_atom_site_fract_x
_atom_site_fract_y
_atom_site_fract_z
Mg1 Mg 0.000 0.000 0.000
Fe1 Fe 0.012 0.975 0.513
Fe2 Fe 0.013 0.505 0.010
Fe3 Fe 0.384 0.965 0.813
Fe4 Fe 0.385 0.555 0.347
Fe5 Fe 0.621 0.071 0.215
Fe6 Fe 0.679 0.462 0.651
O1 O 0.278 0.862 0.026
O2 O 0.383 0.163 0.655
O3 O 0.608 0.364 0.388
O4 O 0.673 0.874 0.357
O5 O 0.735 0.152 0.997
O6 O 0.982 0.829 0.708
F1 F 0.061 0.188 0.297
F2 F 0.094 0.706 0.321
F3 F 0.276 0.342 0.042
F4 F 0.430 0.666 0.647
F5 F 0.739 0.644 0.943
F6 F 0.936 0.320 0.701
```

***

[7]
Computed powder X-ray diffraction pattern
Compound: MgFe6O6F6
Radiation: Cu Ka
Structure: a PBE+U-relaxed structure

Main lines, by angle (10 to 80 degrees two-theta):
index, two_theta, I (rel.)
1 0 1, 19.1, 37
1 0 -3, 23.2, 45
1 0 3, 27.0, 87
1 0 -4, 27.8, 100
1 1 -1, 34.0, 96
0 1 3, 34.5, 75
1 1 -2, 35.3, 43
1 1 -7, 54.0, 52
1 1 7, 58.5, 36
3 1 -1, 61.2, 48

```
data_MgFe6O6F6
_space_group_name_H-M_alt 'P 1'
_space_group_IT_number 1
_space_group_name_Hall 'P 1'
_cell_length_a 5.226
_cell_length_b 3.072
_cell_length_c 14.746
_cell_angle_alpha 90.00
_cell_angle_beta 98.55
_cell_angle_gamma 90.00
loop_
_atom_site_label
_atom_site_type_symbol
_atom_site_fract_x
_atom_site_fract_y
_atom_site_fract_z
Mg1 Mg 0.000 0.000 0.000
Fe1 Fe 0.004 0.519 0.654
Fe2 Fe 0.380 0.015 0.209
Fe3 Fe 0.500 0.019 0.500
Fe4 Fe 0.500 0.501 0.000
Fe5 Fe 0.620 0.015 0.791
Fe6 Fe 0.996 0.519 0.346
O1 O 0.091 0.019 0.276
O2 O 0.301 0.519 0.437
O3 O 0.368 0.001 0.070
O4 O 0.632 0.001 0.930
O5 O 0.699 0.519 0.563
O6 O 0.909 0.019 0.724
F1 F 0.130 0.500 0.930
F2 F 0.208 0.019 0.595
F3 F 0.369 0.516 0.748
F4 F 0.631 0.516 0.252
F5 F 0.792 0.019 0.405
F6 F 0.870 0.500 0.070
```

***

[8]
Computed powder X-ray diffraction pattern
Compound: MgFe12O12F12
Radiation: Cu Ka
Structure: a PBE+U-relaxed structure

Main lines, by angle (10 to 80 degrees two-theta):
index, two_theta, I (rel.)
2 0 -3, 25.3, 86
2 0 3, 26.4, 100
2 1 0, 34.2, 64
0 1 3, 34.3, 52
2 1 3, 39.4, 22
4 1 -3, 50.4, 18
2 1 -6, 50.8, 18
4 1 3, 51.6, 27
2 1 6, 52.0, 37
0 2 0, 59.6, 25

```
data_MgFe12O12F12
_space_group_name_H-M_alt 'P 1'
_space_group_IT_number 1
_space_group_name_Hall 'P 1'
_cell_length_a 9.854
_cell_length_b 3.103
_cell_length_c 14.524
_cell_angle_alpha 90.00
_cell_angle_beta 92.33
_cell_angle_gamma 90.00
loop_
_atom_site_label
_atom_site_type_symbol
_atom_site_fract_x
_atom_site_fract_y
_atom_site_fract_z
Mg1 Mg 0.000 0.000 0.000
Fe1 Fe 0.019 0.000 0.482
Fe2 Fe 0.046 0.000 0.793
Fe3 Fe 0.236 0.500 0.326
Fe4 Fe 0.247 0.500 0.640
Fe5 Fe 0.277 0.500 0.951
Fe6 Fe 0.511 0.000 0.162
Fe7 Fe 0.518 0.000 0.495
Fe8 Fe 0.521 0.000 0.812
Fe9 Fe 0.697 0.500 0.993
Fe10 Fe 0.735 0.500 0.315
Fe11 Fe 0.768 0.500 0.680
Fe12 Fe 0.984 0.000 0.212
O1 O 0.093 0.500 0.418
O2 O 0.128 0.500 0.746
O3 O 0.154 0.000 0.914
O4 O 0.165 0.000 0.580
O5 O 0.172 0.000 0.259
O6 O 0.414 0.500 0.869
O7 O 0.578 0.500 0.094
O8 O 0.609 0.500 0.751
O9 O 0.631 0.000 0.269
O10 O 0.649 0.000 0.922
O11 O 0.869 0.000 0.732
O12 O 0.873 0.500 0.231
F1 F 0.074 0.500 0.072
F2 F 0.342 0.000 0.039
F3 F 0.355 0.000 0.392
F4 F 0.360 0.000 0.706
F5 F 0.397 0.500 0.218
F6 F 0.415 0.500 0.558
F7 F 0.615 0.500 0.432
F8 F 0.686 0.000 0.596
F9 F 0.823 0.000 0.056
F10 F 0.839 0.000 0.397
F11 F 0.919 0.500 0.920
F12 F 0.920 0.500 0.553
```

***

[9]
Computed powder X-ray diffraction pattern
Compound: MgFe6O6F6
Radiation: Cu Ka
Structure: a PBE+U-relaxed structure

Main lines, by angle (10 to 80 degrees two-theta):
index, two_theta, I (rel.)
-1 1 1, 24.1, 100
1 1 -1, 26.9, 91
2 -1 1, 33.8, 24
1 -2 2, 34.0, 52
1 0 2, 34.0, 32
0 1 -3, 34.9, 29
-2 2 2, 49.3, 41
1 0 -4, 50.4, 20
1 2 -4, 53.5, 18
1 -4 2, 63.0, 32

```
data_MgFe6O6F6
_space_group_name_H-M_alt 'P 1'
_space_group_IT_number 1
_space_group_name_Hall 'P 1'
_cell_length_a 5.878
_cell_length_b 5.945
_cell_length_c 7.751
_cell_angle_alpha 110.48
_cell_angle_beta 95.18
_cell_angle_gamma 111.61
loop_
_atom_site_label
_atom_site_type_symbol
_atom_site_fract_x
_atom_site_fract_y
_atom_site_fract_z
Mg1 Mg 0.000 0.000 0.000
Fe1 Fe 0.001 0.499 0.023
Fe2 Fe 0.319 0.536 0.362
Fe3 Fe 0.441 0.997 0.824
Fe4 Fe 0.610 0.483 0.654
Fe5 Fe 0.626 0.010 0.190
Fe6 Fe 0.973 0.010 0.515
O1 O 0.269 0.314 0.508
O2 O 0.342 0.692 0.177
O3 O 0.622 0.818 0.875
O4 O 0.664 0.330 0.842
O5 O 0.674 0.689 0.497
O6 O 0.956 0.303 0.183
F1 F 0.079 0.716 0.838
F2 F 0.082 0.193 0.830
F3 F 0.247 0.830 0.557
F4 F 0.383 0.168 0.099
F5 F 0.734 0.218 0.487
F6 F 0.924 0.814 0.178
```

***

[10]
Computed powder X-ray diffraction pattern
Compound: MgFe6O11F
Radiation: Cu Ka
Structure: a PBE+U-relaxed structure

Main lines, by angle (10 to 80 degrees two-theta):
index, two_theta, I (rel.)
-1 1 1, 25.3, 98
1 1 -1, 27.1, 100
1 0 2, 35.3, 63
0 1 -3, 35.7, 50
0 2 0, 36.7, 22
0 1 3, 51.2, 22
-2 2 2, 52.0, 27
0 3 -3, 53.1, 27
2 -2 4, 62.5, 22
1 2 2, 65.2, 29

```
data_MgFe6O11F
_space_group_name_H-M_alt 'P 1'
_space_group_IT_number 1
_space_group_name_Hall 'P 1'
_cell_length_a 5.581
_cell_length_b 5.734
_cell_length_c 7.602
_cell_angle_alpha 111.75
_cell_angle_beta 96.42
_cell_angle_gamma 108.81
loop_
_atom_site_label
_atom_site_type_symbol
_atom_site_fract_x
_atom_site_fract_y
_atom_site_fract_z
Mg1 Mg 0.000 0.000 0.000
Fe1 Fe 0.321 0.524 0.367
Fe2 Fe 0.385 0.954 0.815
Fe3 Fe 0.620 0.998 0.200
Fe4 Fe 0.667 0.470 0.661
Fe5 Fe 0.970 0.525 0.033
Fe6 Fe 0.991 0.989 0.500
O1 O 0.030 0.656 0.830
O2 O 0.228 0.812 0.544
O3 O 0.302 0.305 0.508
O4 O 0.337 0.676 0.178
O5 O 0.395 0.129 0.096
O6 O 0.609 0.786 0.864
O7 O 0.640 0.299 0.841
O8 O 0.687 0.662 0.491
O9 O 0.752 0.179 0.483
O10 O 0.893 0.837 0.205
O11 O 0.953 0.316 0.187
F1 F 0.082 0.153 0.806
```